Computed X-ray powder pattern
Compound: ZrSc2Zn
Radiation: Cu Kα (weighted mean of Kα1 and Kα2)
Structure: DFT lattice parameters and positions (GGA-PBE)
No peak broadening, texture or thermal motion is included.

Structural model:
Cell: 11.4973 3.3909 4.8333 Å, 90.00 114.84 90.00°
Space group Cm (No. 8)
Unique sites:
Zr: 0.0000 0.0000 0.0000 x2
Sc: 0.0662 0.5000 0.5662 x2
Sc: 0.2814 0.5000 0.2798 x2
Zn: 0.2800 0.0000 0.7775 x2

Peak list (10 most intense, 10° ≤ 2θ ≤ 90°, sorted by position)
- hkl 2 0 -1, 2θ 20.25, d = 4.386 Å, rel. 19.5
- hkl 4 0 0, 2θ 34.38, d = 2.608 Å, rel. 23.0
- hkl 1 1 1, 2θ 36.67, d = 2.451 Å, rel. 100.0
- hkl 3 1 0, 2θ 37.03, d = 2.428 Å, rel. 10.6
- hkl 2 0 -2, 2θ 37.21, d = 2.417 Å, rel. 26.1
- hkl 6 0 -1, 2θ 47.46, d = 1.916 Å, rel. 8.6
- hkl 2 0 2, 2θ 51.55, d = 1.773 Å, rel. 13.7
- hkl 0 2 0, 2θ 54.09, d = 1.695 Å, rel. 8.3
- hkl 5 1 1, 2θ 63.09, d = 1.474 Å, rel. 9.1
- hkl 1 1 -3, 2θ 66.73, d = 1.402 Å, rel. 15.6


Computed X-ray powder pattern
Compound: Zr3Sc13
Radiation: Cu Kα (weighted mean of Kα1 and Kα2)
Structure: DFT lattice parameters and positions (GGA-PBE)
No peak broadening, texture or thermal motion is included.

Structural model:
Cell: 9.0415 9.2367 9.1939 Å, 90.00 90.00 90.00°
Space group Amm2 (No. 38)
Unique sites:
Zr: 0.0000 0.0000 0.0000 x2
Zr: 0.2467 0.0000 0.2379 x4
Sc: 0.0000 0.0000 0.4844 x2
Sc: 0.0000 0.2452 0.2425 x4
Sc: 0.2472 0.0000 0.7453 x4
Sc: 0.2472 0.2476 0.9925 x8
Sc: 0.5000 0.0000 0.4868 x2
Sc: 0.5000 0.0000 0.9988 x2
Sc: 0.5000 0.2437 0.2410 x4

Peak list (10 most intense, 10° ≤ 2θ ≤ 90°, sorted by position)
- hkl 2 2 2, 2θ 33.92, d = 2.643 Å, rel. 100.0
- hkl 0 4 0, 2θ 39.01, d = 2.309 Å, rel. 16.6
- hkl 0 0 4, 2θ 39.19, d = 2.298 Å, rel. 16.3
- hkl 4 0 0, 2θ 39.88, d = 2.260 Å, rel. 15.6
- hkl 0 4 4, 2θ 56.49, d = 1.629 Å, rel. 10.2
- hkl 4 4 0, 2θ 57.01, d = 1.615 Å, rel. 10.0
- hkl 4 0 4, 2θ 57.16, d = 1.612 Å, rel. 9.9
- hkl 2 6 2, 2θ 67.42, d = 1.389 Å, rel. 11.6
- hkl 2 2 6, 2θ 67.67, d = 1.384 Å, rel. 11.3
- hkl 6 2 2, 2θ 68.62, d = 1.368 Å, rel. 11.0